Entry 1:
Starting from a crystal structure in Alexandria, relaxed with PBE, the X-ray diffraction stick pattern of Ti2VTc5B2 was simulated for Cu Ka.

Atomic structure:
abc: 9.2283 9.2283 3.0639
angles: 90.00 90.00 90.00
Space group P4/mbm (No. 127)
Asymmetric unit:
Ti (0.1736, 0.3264, 0.0000)
V (0.0000, 0.0000, 0.0000)
Tc (0.0000, 0.5000, 0.5000)
Tc (0.0697, 0.7910, 0.5000)
B (0.1266, 0.6266, 0.0000)

Top 10 peaks for 10° ≤ 2θ ≤ 80°, in order of rising 2θ:
2theta  I_rel  hkl
29.15  42  0 0 1
35.07  34  3 2 0
36.53  43  2 1 1
40.32  95  4 1 0
42.79  100  3 1 1
43.88  33  4 2 0
46.22  41  3 2 1
50.49  24  4 1 1
72.44  28  5 5 0
79.89  28  7 1 1



Entry 2:
Starting from a crystal structure in Alexandria, relaxed with PBE, the X-ray diffraction stick pattern of TmTcB4 was simulated for Cu Ka.

Atomic structure:
abc: 5.9347 11.4793 3.5777
angles: 90.00 90.00 90.00
Space group Pbam (No. 55)
Asymmetric unit:
Tm (0.1277, 0.1498, 0.0000)
Tc (0.1340, 0.4121, 0.0000)
B (0.0221, 0.6932, 0.5000)
B (0.1138, 0.5478, 0.5000)
B (0.1350, 0.9689, 0.5000)
B (0.2111, 0.8148, 0.5000)

Top 10 peaks for 10° ≤ 2θ ≤ 80°, in order of rising 2θ:
2theta  I_rel  hkl
24.89  80  0 0 1
27.74  22  1 3 0
31.14  83  0 4 0
34.72  19  1 4 0
37.61  25  1 3 1
38.39  20  2 3 0
40.27  100  0 4 1
43.19  26  1 4 1
46.29  28  2 3 1
61.03  25  0 4 2



Entry 3:
Starting from a crystal structure in Alexandria, relaxed with PBE, the X-ray diffraction stick pattern of UTc2B4 was simulated for Cu Ka.

Atomic structure:
abc: 2.9870 3.5045 14.4431
angles: 90.00 90.00 90.00
Space group Immm (No. 71)
Asymmetric unit:
U (0.0000, 0.0000, 0.0000)
Tc (0.0000, 0.5000, 0.3120)
B (0.0000, 0.0000, 0.4065)
B (0.0000, 0.5000, 0.1507)

Top 10 peaks for 10° ≤ 2θ ≤ 80°, in order of rising 2θ:
2theta  I_rel  hkl
24.66  27  0 0 4
26.17  90  0 1 1
35.36  87  1 0 3
37.36  31  0 0 6
40.47  69  0 1 5
41.65  100  1 1 2
47.25  25  1 1 4
64.64  31  1 2 3
66.09  39  1 1 8
76.83  21  2 1 5



Entry 4:
Starting from a crystal structure in Alexandria, relaxed with PBE, the X-ray diffraction stick pattern of V7TcB5 was simulated for Cu Ka.

Atomic structure:
abc: 4.8176 7.7960 7.3320
angles: 90.00 90.00 90.00
Space group Imm2 (No. 44)
Asymmetric unit:
V (0.0000, 0.0000, 0.0000)
V (0.0000, 0.0000, 0.3368)
V (0.0000, 0.3170, 0.2153)
V (0.0000, 0.3186, 0.7724)
V (0.0000, 0.5000, 0.4946)
Tc (0.0000, 0.0000, 0.6560)
B (0.0000, 0.5000, 0.9942)
B (0.1811, 0.2344, 0.4934)

Top 10 peaks for 10° ≤ 2θ ≤ 80°, in order of rising 2θ:
2theta  I_rel  hkl
24.28  23  0 0 2
31.96  28  1 2 1
33.56  29  0 2 2
37.33  100  2 0 0
38.61  74  0 1 3
39.40  97  1 3 0
46.82  70  1 3 2
47.81  55  1 2 3
51.06  28  2 2 2
54.81  70  2 1 3



Entry 5:
Starting from a crystal structure in Alexandria, relaxed with PBE, the X-ray diffraction stick pattern of Tc5B3W was simulated for Cu Ka.

Atomic structure:
abc: 9.1460 6.3359 8.9211
angles: 90.00 117.55 90.00
Space group C2/m (No. 12)
Asymmetric unit:
Tc (0.0000, 0.1930, 0.0000)
Tc (0.0844, 0.2708, 0.4077)
Tc (0.2227, 0.5000, 0.6990)
Tc (0.2480, 0.0000, 0.9963)
B (0.0000, 0.0000, 0.5000)
B (0.0000, 0.5000, 0.0000)
B (0.0078, 0.0000, 0.2203)
B (0.0131, 0.5000, 0.8051)
W (0.2364, 0.0000, 0.7112)

Top 10 peaks for 10° ≤ 2θ ≤ 80°, in order of rising 2θ:
2theta  I_rel  hkl
23.63  20  1 1 1
34.00  39  0 0 3
35.98  100  2 2 0
36.34  32  0 2 2
38.45  24  2 0 2
40.49  43  4 0 -1
41.80  23  4 0 -3
42.17  65  2 2 -3
44.71  20  4 0 0
53.68  18  4 2 0



Entry 6:
Starting from a crystal structure in Alexandria, relaxed with PBE, the X-ray diffraction stick pattern of Tc10B3W was simulated for Cu Ka.

Atomic structure:
abc: 11.4073 11.4073 11.4073
angles: 90.00 90.00 90.00
Space group Fm-3m (No. 225)
Asymmetric unit:
Tc (0.0000, 0.1685, 0.1685)
Tc (0.1189, 0.1189, 0.3811)
B (0.0000, 0.0000, 0.2769)
W (0.2500, 0.2500, 0.2500)

Top 10 peaks for 10° ≤ 2θ ≤ 80°, in order of rising 2θ:
2theta  I_rel  hkl
15.54  22  2 0 0
35.18  70  4 2 0
38.67  45  4 2 2
41.12  100  3 3 3
44.95  29  4 4 0
47.13  47  5 3 1
53.27  21  6 2 2
67.74  21  6 4 4
69.98  33  6 6 0
76.00  14  9 1 1



Entry 7:
Starting from a crystal structure in Alexandria, relaxed with PBE, the X-ray diffraction stick pattern of YTcB3 was simulated for Cu Ka.

Atomic structure:
abc: 3.6774 19.4654 3.1136
angles: 90.00 90.00 90.00
Space group Cmcm (No. 63)
Asymmetric unit:
Y (0.0000, 0.0773, 0.2500)
Tc (0.0000, 0.2078, 0.7500)
B (0.0000, 0.3214, 0.7500)
B (0.0000, 0.3675, 0.2500)
B (0.0000, 0.4785, 0.2500)

Top 10 peaks for 10° ≤ 2θ ≤ 80°, in order of rising 2θ:
2theta  I_rel  hkl
24.64  50  1 1 0
34.19  73  0 4 1
36.94  15  0 8 0
40.42  100  1 3 1
40.68  65  1 7 0
49.58  21  2 0 0
55.69  16  0 10 1
61.60  26  2 4 1
65.80  21  1 11 1
74.46  21  1 7 2



Entry 8:
Starting from a crystal structure in Alexandria, relaxed with PBE, the X-ray diffraction stick pattern of Y2Tc3B4 was simulated for Cu Ka.

Atomic structure:
abc: 6.2610 6.3202 6.0618
angles: 90.00 107.82 90.00
Space group P2_1/c (No. 14)
Asymmetric unit:
Y (0.1924, 0.1684, 0.0781)
Tc (0.2554, 0.6748, 0.2533)
Tc (0.5000, 0.0000, 0.5000)
B (0.0829, 0.5392, 0.8958)
B (0.4936, 0.6156, 0.6162)

Top 10 peaks for 10° ≤ 2θ ≤ 80°, in order of rising 2θ:
2theta  I_rel  hkl
28.36  54  1 1 1
29.98  48  2 0 0
32.30  79  0 2 1
33.24  79  1 1 -2
36.10  59  2 0 -2
41.08  88  2 2 -1
41.26  83  1 1 2
41.66  100  2 2 0
45.85  53  0 3 1
47.23  48  1 1 -3